# Ac8CuRh3I3
Computed powder diffractogram, Cu Kα (λ = 1.5418 Å). Input: a GGA-PBE-relaxed structure.

Structural model:
Cell: 15.2853 8.8353 9.9066 Å, 90.00 120.94 90.00°
Space group C2/m (No. 12)
One atom of each set of equivalent atoms:
Ac 0.0233 0.2425 0.3117 [8 per cell]
Ac 0.2293 0.0000 0.6892 [4 per cell]
Ac 0.2341 0.5000 0.6877 [4 per cell]
Cu 0.0000 0.5000 0.5000 [2 per cell]
Rh 0.0000 0.0000 0.5000 [2 per cell]
Rh 0.2500 0.2500 0.5000 [4 per cell]
I 0.0000 0.5000 0.0000 [2 per cell]
I 0.2500 0.2500 0.0000 [4 per cell]

Main lines, in order of rising 2θ (10 to 90 degrees two-theta):
index	d/Å	intensity
0 0 1	8.497	25
4 0 -2	3.662	21
2 2 -2	3.279	100
2 2 1	3.059	18
4 0 1	2.637	21
4 0 -4	2.448	24
0 4 0	2.208	41
8 0 -4	1.831	19
4 0 3	1.744	15
8 4 -4	1.409	16


# NaSn3F6
Computed powder diffractogram, Cu Kα (λ = 1.5418 Å). Input: a GGA-PBE-relaxed structure.

Structural model:
Cell: 10.1919 3.1299 10.5753 Å, 90.00 93.99 90.00°
Space group P2_1/m (No. 11)
One atom of each set of equivalent atoms:
Na 0.0360 0.2500 0.1733 [2 per cell]
Sn 0.1818 0.2500 0.5804 [2 per cell]
Sn 0.2887 0.7500 0.9704 [2 per cell]
Sn 0.3990 0.2500 0.3254 [2 per cell]
F 0.0061 0.7500 0.3448 [2 per cell]
F 0.1093 0.2500 0.9459 [2 per cell]
F 0.2128 0.7500 0.1609 [2 per cell]
F 0.2172 0.7500 0.7467 [2 per cell]
F 0.4267 0.2500 0.6148 [2 per cell]
F 0.4706 0.2500 0.1476 [2 per cell]

Main lines, in order of rising 2θ (10 to 90 degrees two-theta):
index	d/Å	intensity
2 0 -1	4.710	44
2 0 2	3.539	70
0 0 3	3.517	24
1 0 -3	3.397	50
3 0 -1	3.294	42
1 1 1	2.863	100
2 1 -2	2.414	33
3 1 0	2.299	29
5 0 1	1.972	33
3 1 3	1.883	42


# NaAl3Ga3
Computed powder diffractogram, Cu Kα (λ = 1.5418 Å). Input: a GGA-PBE-relaxed structure.

Structural model:
Cell: 12.2790 12.2790 12.2790 Å, 90.00 90.00 90.00°
Space group Fm-3m (No. 225)
One atom of each set of equivalent atoms:
Na 0.2500 0.2500 0.2500 [8 per cell]
Al 0.0000 0.0000 0.1527 [24 per cell]
Ga 0.0000 0.0000 0.3495 [24 per cell]

Main lines, in order of rising 2θ (10 to 90 degrees two-theta):
index	d/Å	intensity
1 1 1	7.089	52
2 0 0	6.140	100
2 2 0	4.341	15
2 2 2	3.545	25
4 0 0	3.070	19
4 2 2	2.506	29
3 3 3	2.363	15
6 0 0	2.047	69
6 2 0	1.941	28
6 6 0	1.447	15


# PuTl3F8
Computed powder diffractogram, Cu Kα (λ = 1.5418 Å). Input: a GGA-PBE-relaxed structure.

Structural model:
Cell: 6.1553 6.1553 6.1553 Å, 90.00 90.00 90.00°
Space group Pm-3m (No. 221)
One atom of each set of equivalent atoms:
Pu 0.0000 0.0000 0.0000 [1 per cell]
Tl 0.0000 0.5000 0.5000 [3 per cell]
F 0.2080 0.2080 0.2080 [8 per cell]

Main lines, in order of rising 2θ (10 to 90 degrees two-theta):
index	d/Å	intensity
1 1 1	3.554	100
2 0 0	3.078	35
2 2 0	2.176	52
3 1 1	1.856	49
2 2 2	1.777	12
4 0 0	1.539	8
3 3 1	1.412	22
4 2 0	1.376	17
4 2 2	1.256	16
5 1 1	1.185	16


# Cs3VCl7
Computed powder diffractogram, Cu Kα (λ = 1.5418 Å). Input: a GGA-PBE-relaxed structure.

Structural model:
Cell: 10.1782 10.1782 7.2830 Å, 90.00 90.00 90.00°
Space group P4/mbm (No. 127)
One atom of each set of equivalent atoms:
Cs 0.0000 0.0000 0.0000 [2 per cell]
Cs 0.1805 0.3195 0.5000 [4 per cell]
V 0.0000 0.5000 0.0000 [2 per cell]
Cl 0.0000 0.0000 0.5000 [2 per cell]
Cl 0.1138 0.6138 0.2266 [8 per cell]
Cl 0.1620 0.3380 0.0000 [4 per cell]

Main lines, in order of rising 2θ (10 to 90 degrees two-theta):
index	d/Å	intensity
2 1 0	4.552	30
2 0 1	4.172	98
2 1 1	3.860	39
0 0 2	3.642	38
2 2 0	3.599	52
3 1 0	3.219	70
2 1 2	2.844	100
2 2 2	2.560	39
4 1 0	2.469	30
4 2 0	2.277	26


# AcTl8Se6
Computed powder diffractogram, Cu Kα (λ = 1.5418 Å). Input: a GGA-PBE-relaxed structure.

Structural model:
Cell: 7.6549 7.6549 30.0368 Å, 90.00 90.00 120.00°
Space group R-3 (No. 148, hexagonal axes)
One atom of each set of equivalent atoms:
Ac 0.0000 0.0000 0.0000 [3 per cell]
Tl 0.0000 0.0000 0.3340 [6 per cell]
Tl 0.0002 0.3367 0.1193 [18 per cell]
Se 0.9999 0.3237 0.9367 [18 per cell]

Main lines, in order of rising 2θ (10 to 90 degrees two-theta):
index	d/Å	intensity
2 -1 3	3.575	59
0 0 9	3.337	13
1 1 6	3.041	100
2 -1 9	2.515	12
3 0 0	2.210	43
2 -1 12	2.095	29
3 0 9	1.843	15
4 -2 6	1.788	22
4 1 6	1.390	19
5 -1 12	1.252	11


# Y4Mg2Cu
Computed powder diffractogram, Cu Kα (λ = 1.5418 Å). Input: a GGA-PBE-relaxed structure.

Structural model:
Cell: 6.9261 6.9261 17.0742 Å, 90.00 90.00 90.00°
Space group I4/mcm (No. 140)
One atom of each set of equivalent atoms:
Y 0.1659 0.3341 0.1614 [16 per cell]
Mg 0.1496 0.3504 0.5000 [8 per cell]
Cu 0.0000 0.0000 0.2500 [4 per cell]

Main lines, in order of rising 2θ (10 to 90 degrees two-theta):
index	d/Å	intensity
0 0 2	8.537	61
2 1 1	3.048	15
0 0 6	2.846	17
2 1 3	2.721	100
2 0 4	2.689	13
2 0 6	2.199	19
3 1 0	2.190	22
2 1 9	1.618	19
4 1 3	1.611	17
3 3 6	1.416	14


# DyEr6Th3
Computed powder diffractogram, Cu Kα (λ = 1.5418 Å). Input: a GGA-PBE-relaxed structure.

Structural model:
Cell: 9.7894 9.7894 11.8973 Å, 90.00 90.00 120.00°
Space group R-3 (No. 148, hexagonal axes)
One atom of each set of equivalent atoms:
Dy 0.0000 0.0000 0.0000 [3 per cell]
Er 0.9998 0.3322 0.2520 [18 per cell]
Th 0.0000 0.0000 0.2487 [6 per cell]
Th 0.0000 0.0000 0.5000 [3 per cell]

Main lines, in order of rising 2θ (10 to 90 degrees two-theta):
index	d/Å	intensity
1 1 0	4.894	13
2 -1 3	3.081	56
3 0 0	2.826	100
1 0 4	2.807	20
0 2 4	2.435	14
2 1 4	2.180	20
2 2 3	2.083	19
5 -1 3	1.677	19
3 3 0	1.632	20
3 0 6	1.623	13


# Li2Al3Cu2
Computed powder diffractogram, Cu Kα (λ = 1.5418 Å). Input: a GGA-PBE-relaxed structure.

Structural model:
Cell: 7.3446 4.1898 6.6530 Å, 90.00 110.58 90.00°
Space group C2/m (No. 12)
One atom of each set of equivalent atoms:
Li 0.1482 0.0000 0.4407 [4 per cell]
Al 0.0000 0.0000 0.0000 [2 per cell]
Al 0.0727 0.5000 0.7264 [4 per cell]
Cu 0.2212 0.5000 0.1526 [4 per cell]

Main lines, in order of rising 2θ (10 to 90 degrees two-theta):
index	d/Å	intensity
0 0 1	6.229	100
2 0 -1	3.583	19
1 1 -1	3.381	29
1 1 1	2.883	38
1 1 2	2.161	87
2 0 -3	2.141	42
3 1 -1	2.114	83
0 2 0	2.095	40
2 2 -3	1.497	26
5 1 -4	1.222	25


# CeNdAl2
Computed powder diffractogram, Cu Kα (λ = 1.5418 Å). Input: a GGA-PBE-relaxed structure.

Structural model:
Cell: 4.1856 4.6014 10.7645 Å, 90.00 101.08 90.00°
Space group P2_1/m (No. 11)
One atom of each set of equivalent atoms:
Ce 0.0439 0.2500 0.0883 [2 per cell]
Nd 0.3117 0.7500 0.6197 [2 per cell]
Al 0.1509 0.7500 0.3051 [2 per cell]
Al 0.4260 0.2500 0.8506 [2 per cell]

Main lines, in order of rising 2θ (10 to 90 degrees two-theta):
index	d/Å	intensity
0 1 1	4.219	57
1 0 1	3.598	95
1 1 -1	3.064	38
1 1 -2	2.834	94
0 1 3	2.796	87
0 0 4	2.641	34
1 1 2	2.498	100
0 2 0	2.301	44
2 0 -1	2.093	33
1 2 1	1.938	35


# Na3AsPd4
Computed powder diffractogram, Cu Kα (λ = 1.5418 Å). Input: a GGA-PBE-relaxed structure.

Structural model:
Cell: 5.7153 7.7114 7.2674 Å, 90.00 90.00 90.00°
Space group Imm2 (No. 44)
One atom of each set of equivalent atoms:
Na 0.0000 0.0000 0.0000 [2 per cell]
Na 0.0000 0.3109 0.2541 [4 per cell]
As 0.0000 0.5000 0.6467 [2 per cell]
Pd 0.0000 0.1892 0.6568 [4 per cell]
Pd 0.2457 0.0000 0.4096 [4 per cell]

Main lines, in order of rising 2θ (10 to 90 degrees two-theta):
index	d/Å	intensity
0 1 1	5.289	83
1 0 1	4.493	100
0 2 2	2.644	46
2 1 1	2.514	48
0 3 1	2.423	51
2 2 0	2.296	27
2 0 2	2.246	73
1 0 3	2.230	30
1 3 2	1.970	28
2 3 1	1.848	46


# Ac2DyTc3O12
Computed powder diffractogram, Cu Kα (λ = 1.5418 Å). Input: a GGA-PBE-relaxed structure.

Structural model:
Cell: 7.2882 7.2882 15.9927 Å, 90.00 90.00 120.00°
Space group R-3m (No. 166, hexagonal axes)
One atom of each set of equivalent atoms:
Ac 0.0000 0.0000 0.1184 [6 per cell]
Dy 0.0000 0.0000 0.5000 [3 per cell]
Tc 0.0000 0.5000 0.0000 [9 per cell]
O 0.0443 0.5221 0.8795 [18 per cell]
O 0.0665 0.5333 0.3104 [18 per cell]

Main lines, in order of rising 2θ (10 to 90 degrees two-theta):
index	d/Å	intensity
1 1 0	3.644	57
1 0 4	3.378	32
0 2 1	3.096	48
1 1 3	3.008	100
2 0 2	2.936	32
0 1 5	2.853	49
0 3 3	1.957	31
1 2 5	1.912	34
2 2 0	1.822	43
2 0 8	1.689	26


# CaLa6Rh4
Computed powder diffractogram, Cu Kα (λ = 1.5418 Å). Input: a GGA-PBE-relaxed structure.

Structural model:
Cell: 6.2435 6.3013 9.1191 Å, 105.36 101.12 108.75°
Space group P1 (No. 1)
One atom of each set of equivalent atoms:
Ca 0.0000 0.0000 0.0000 [1 per cell]
La 0.1248 0.5399 0.6418 [1 per cell]
La 0.4390 0.2687 0.4020 [1 per cell]
La 0.4635 0.2202 0.8244 [1 per cell]
La 0.4752 0.7588 0.0940 [1 per cell]
La 0.7458 0.9318 0.5815 [1 per cell]
La 0.9351 0.5298 0.2225 [1 per cell]
Rh 0.0047 0.4698 0.9245 [1 per cell]
Rh 0.2052 0.9143 0.5109 [1 per cell]
Rh 0.6638 0.5888 0.7227 [1 per cell]
Rh 0.8789 0.0914 0.3267 [1 per cell]

Main lines, in order of rising 2θ (10 to 90 degrees two-theta):
index	d/Å	intensity
0 0 1	8.376	35
2 -1 0	3.041	52
1 -2 0	3.020	51
-2 1 1	2.994	67
0 1 2	2.897	77
1 0 -3	2.874	34
0 2 -2	2.828	43
1 1 1	2.762	37
0 2 -3	2.453	100
1 2 0	2.183	34